Entry 1:
# MnAu2Br
Calculated powder XRD pattern, copper Kα. Input: the GGA-PBE geometry in Alexandria.

The 12 most intense peaks (2θ = 15–90°), by angle:
| 2θ/deg | intensity |
| --- | --- |
| 15.64 | 42 |
| 31.57 | 37 |
| 32.82 | 15 |
| 36.55 | 100 |
| 46.18 | 13 |
| 47.10 | 24 |
| 49.93 | 10 |
| 57.81 | 26 |
| 59.52 | 24 |
| 77.68 | 11 |
| 80.52 | 21 |
| 84.92 | 9 |

Cell and atoms:
```
4
Lattice="3.859 0.000 0.000 0.000 3.859 0.000 0.000 0.000 5.668" Properties=species:S:1:pos:R:3 pbc="T T T"
Mn 0.000 0.000 0.000
Au 0.000 1.929 2.834
Au 1.929 0.000 2.834
Br 1.929 1.929 0.000
```

Entry 2:
# TiInSnBr2
Calculated powder XRD pattern, copper Kα. Input: the GGA-PBE geometry in Alexandria.

The 12 most intense peaks (2θ = 15–90°), by angle:
| 2θ/deg | intensity |
| --- | --- |
| 15.74 | 18 |
| 21.72 | 17 |
| 22.03 | 81 |
| 26.94 | 62 |
| 30.90 | 100 |
| 31.80 | 46 |
| 38.28 | 41 |
| 44.27 | 37 |
| 44.93 | 70 |
| 52.59 | 17 |
| 55.53 | 37 |
| 81.94 | 24 |

Cell and atoms:
```
5
Lattice="5.787 0.000 0.000 0.000 5.787 0.000 0.000 0.000 5.629" Properties=species:S:1:pos:R:3 pbc="T T T"
Ti 0.000 0.000 0.000
In 2.894 2.894 0.000
Sn 0.000 0.000 2.814
Br 0.000 2.894 2.814
Br 2.894 0.000 2.814
```

Entry 3:
# MgP3NO9
Calculated powder XRD pattern, copper Kα. Input: the GGA-PBE geometry in Alexandria.

The 12 most intense peaks (2θ = 15–90°), by angle:
| 2θ/deg | intensity |
| --- | --- |
| 15.52 | 74 |
| 17.03 | 100 |
| 23.12 | 35 |
| 28.86 | 15 |
| 29.72 | 10 |
| 31.33 | 46 |
| 36.54 | 7 |
| 37.99 | 11 |
| 43.73 | 15 |
| 47.79 | 7 |
| 53.70 | 7 |
| 56.81 | 9 |

Cell and atoms:
```
14
Lattice="5.206 3.006 2.459 -5.206 3.006 2.459 0.000 -6.012 2.459" Properties=species:S:1:pos:R:3 pbc="T T T"
Mg 0.000 0.000 0.000
P -2.216 -3.838 3.689
P -2.216 3.838 3.689
P 4.432 0.000 3.689
N 0.000 0.000 3.689
O -1.813 -2.872 2.459
O -0.008 -1.719 1.165
O -1.485 0.866 1.165
O 1.492 0.853 1.165
O -1.581 3.006 2.459
O -1.813 2.872 4.918
O -1.485 -0.866 6.212
O -0.008 1.719 6.212
O 1.492 -0.853 6.212
```

Entry 4:
# Nd2MnBePt6
Calculated powder XRD pattern, copper Kα. Input: the GGA-PBE geometry in Alexandria.

The 12 most intense peaks (2θ = 15–90°), by angle:
| 2θ/deg | intensity |
| --- | --- |
| 27.38 | 35 |
| 28.97 | 25 |
| 33.89 | 18 |
| 36.85 | 18 |
| 37.03 | 100 |
| 40.45 | 74 |
| 52.29 | 11 |
| 52.69 | 12 |
| 58.91 | 15 |
| 64.39 | 25 |
| 71.32 | 14 |
| 76.67 | 12 |

Cell and atoms:
```
10
Lattice="2.894 1.671 6.515 -2.894 1.671 6.515 0.000 -3.342 6.515" Properties=species:S:1:pos:R:3 pbc="T T T"
Nd 0.000 0.000 4.176
Nd 0.000 0.000 15.370
Mn 0.000 0.000 9.773
Be 0.000 0.000 0.000
Pt 0.000 -1.599 7.806
Pt -1.385 0.799 7.806
Pt -1.385 -0.799 11.740
Pt 1.385 0.799 7.806
Pt 1.385 -0.799 11.740
Pt 0.000 1.599 11.740
```

Entry 5:
# Na2SnTe4
Calculated powder XRD pattern, copper Kα. Input: the GGA-PBE geometry in Alexandria.

The 12 most intense peaks (2θ = 15–90°), by angle:
| 2θ/deg | intensity |
| --- | --- |
| 15.34 | 78 |
| 18.81 | 22 |
| 19.54 | 28 |
| 25.68 | 50 |
| 27.25 | 41 |
| 29.10 | 37 |
| 30.96 | 100 |
| 31.87 | 24 |
| 38.17 | 23 |
| 42.43 | 35 |
| 47.21 | 20 |
| 48.07 | 35 |

Cell and atoms:
```
7
Lattice="0.000 6.137 4.544 4.718 0.000 4.544 4.718 6.137 0.000" Properties=species:S:1:pos:R:3 pbc="T T T"
Na 2.359 3.068 0.000
Na 2.359 3.068 4.544
Sn 4.718 6.137 1.265
Te 8.009 6.137 3.317
Te 4.718 3.606 2.288
Te 4.718 8.667 2.288
Te 1.428 6.137 3.317
```

Entry 6:
# CsNaTl7Rh2
Calculated powder XRD pattern, copper Kα. Input: the GGA-PBE geometry in Alexandria.

The 12 most intense peaks (2θ = 15–90°), by angle:
| 2θ/deg | intensity |
| --- | --- |
| 16.67 | 68 |
| 27.06 | 100 |
| 30.83 | 46 |
| 32.76 | 42 |
| 33.71 | 89 |
| 36.97 | 22 |
| 37.83 | 18 |
| 47.71 | 59 |
| 48.41 | 32 |
| 56.34 | 27 |
| 59.69 | 30 |
| 89.98 | 21 |

Cell and atoms:
```
11
Lattice="5.318 0.000 0.000 0.000 5.318 0.000 0.000 0.000 13.668" Properties=species:S:1:pos:R:3 pbc="T T T"
Cs 0.000 0.000 0.000
Na 0.000 0.000 6.834
Tl 0.000 2.659 2.907
Tl 0.000 2.659 10.761
Tl 2.659 0.000 2.907
Tl 2.659 0.000 10.761
Tl 2.659 2.659 0.000
Tl 2.659 2.659 5.393
Tl 2.659 2.659 8.275
Rh 2.659 2.659 2.666
Rh 2.659 2.659 11.002
```

Entry 7:
# Ba2InOs3O12
Calculated powder XRD pattern, copper Kα. Input: the GGA-PBE geometry in Alexandria.

The 12 most intense peaks (2θ = 15–90°), by angle:
| 2θ/deg | intensity |
| --- | --- |
| 24.52 | 14 |
| 28.82 | 100 |
| 30.14 | 48 |
| 45.90 | 35 |
| 50.23 | 38 |
| 52.72 | 6 |
| 58.92 | 9 |
| 59.69 | 22 |
| 70.38 | 22 |
| 73.78 | 6 |
| 81.03 | 10 |
| 81.67 | 5 |

Cell and atoms:
```
18
Lattice="3.635 2.098 5.925 -3.635 2.098 5.925 0.000 -4.197 5.925" Properties=species:S:1:pos:R:3 pbc="T T T"
Ba 0.000 0.000 2.438
Ba 0.000 0.000 15.336
In 0.000 0.000 8.887
Os -1.817 -1.049 5.925
Os -1.817 1.049 11.849
Os 0.000 2.098 5.925
O -1.727 -0.997 7.885
O 0.000 -1.594 5.845
O -1.381 0.797 5.845
O 0.000 -1.994 9.889
O -1.727 0.997 9.889
O -1.381 -0.797 11.929
O 1.381 0.797 5.845
O 1.727 -0.997 7.885
O 0.000 1.994 7.885
O 1.381 -0.797 11.929
O 0.000 1.594 11.929
O 1.727 0.997 9.889
```

Entry 8:
# YB3Rh6
Calculated powder XRD pattern, copper Kα. Input: the GGA-PBE geometry in Alexandria.

The 12 most intense peaks (2θ = 15–90°), by angle:
| 2θ/deg | intensity |
| --- | --- |
| 29.72 | 22 |
| 32.85 | 24 |
| 34.50 | 74 |
| 37.24 | 48 |
| 38.56 | 100 |
| 39.89 | 31 |
| 44.88 | 26 |
| 48.37 | 83 |
| 56.83 | 12 |
| 68.88 | 15 |
| 79.36 | 19 |
| 86.10 | 11 |

Cell and atoms:
```
10
Lattice="2.726 1.574 5.197 -2.726 1.574 5.197 0.000 -3.148 5.197" Properties=species:S:1:pos:R:3 pbc="T T T"
Y 0.000 0.000 0.000
B 0.000 0.000 2.686
B 0.000 0.000 5.779
B 0.000 0.000 10.983
Rh -1.137 -1.164 7.132
Rh -1.383 0.752 9.474
Rh 0.040 -1.574 9.474
Rh -0.440 1.567 7.132
Rh 1.577 -0.402 7.132
Rh 1.343 0.822 9.474
```